No. 1
The following is a theoretical XRD peak list of TbNdGe. It was derived from a crystal structure in OQMD, relaxed with GGA-PBE, using copper Kα.

Cell: 4.454 4.454 16.425 Å, 90.00 90.00 90.00°
Space group I4/mmm (No. 139)
One atom of each set of equivalent atoms:
Tb: 0.000 0.000 0.182 x4
Nd: 0.000 0.500 0.000 x4
Ge: 0.000 0.000 0.361 x4

Peak list (6 most intense, 2θ = 10–80°, sorted by position)
two_theta, Rel. int.
30.40, 100
32.71, 30
33.91, 27
35.94, 52
40.51, 48
53.01, 30

=====

No. 2
The following is a theoretical XRD peak list of BaHgS2. It was derived from a crystal structure in OQMD, relaxed with GGA-PBE, using copper Kα.

Cell: 6.517 12.582 6.430 Å, 90.00 91.02 90.00°
Space group P2_1/c (No. 14)
One atom of each set of equivalent atoms:
Ba: 0.078 0.116 0.254 x4
Hg: 0.351 0.702 0.885 x4
S: 0.000 0.133 0.753 x4
S: 0.438 0.622 0.228 x4

Peak list (6 most intense, 2θ = 10–80°, sorted by position)
two_theta, Rel. int.
14.08, 70
15.31, 75
24.19, 47
28.31, 100
28.71, 76
31.63, 51

=====

No. 3
The following is a theoretical XRD peak list of Tb2Si5Os3. It was derived from a crystal structure in OQMD, relaxed with GGA-PBE, using copper Kα.

Cell: 10.743 10.743 5.693 Å, 90.00 90.00 90.00°
Space group P4/mnc (No. 128)
One atom of each set of equivalent atoms:
Tb: 0.071 0.235 0.000 x8
Si: 0.000 0.000 0.255 x4
Si: 0.026 0.320 0.500 x8
Si: 0.173 0.673 0.250 x8
Os: 0.000 0.500 0.250 x4
Os: 0.125 0.854 0.500 x8

Peak list (6 most intense, 2θ = 10–80°, sorted by position)
two_theta, Rel. int.
26.23, 100
30.65, 74
33.62, 48
37.44, 48
37.98, 86
39.56, 60

=====

No. 4
The following is a theoretical XRD peak list of Lu2Cu3W4C3. It was derived from a crystal structure in OQMD, relaxed with GGA-PBE, using copper Kα.

Cell: 9.352 5.397 13.737 Å, 90.00 103.85 90.00°
Space group C2/c (No. 15)
One atom of each set of equivalent atoms:
Lu: 0.038 0.081 0.379 x8
Cu: 0.000 0.427 0.750 x4
Cu: 0.243 0.157 0.752 x8
W: 0.111 0.403 0.582 x8
W: 0.228 0.423 0.918 x8
C: 0.085 0.254 0.000 x8
C: 0.250 0.250 0.500 x4

Peak list (6 most intense, 2θ = 10–80°, sorted by position)
two_theta, Rel. int.
33.19, 62
33.85, 64
38.84, 100
39.04, 98
39.24, 88
59.31, 59

=====

No. 5
The following is a theoretical XRD peak list of LiBeAl2Cu4. It was derived from a crystal structure in OQMD, relaxed with GGA-PBE, using copper Kα.

Cell: 4.077 4.077 5.759 Å, 90.00 90.00 90.00°
Space group P4/mmm (No. 123)
One atom of each set of equivalent atoms:
Li: 0.000 0.000 0.000 x1
Be: 0.500 0.500 0.500 x1
Al: 0.000 0.000 0.500 x1
Al: 0.500 0.500 0.000 x1
Cu: 0.000 0.500 0.259 x4

Peak list (6 most intense, 2θ = 10–80°, sorted by position)
two_theta, Rel. int.
26.79, 4
31.04, 53
44.46, 100
55.21, 13
64.70, 15
73.49, 14

=====

No. 6
The following is a theoretical XRD peak list of YHfAu4. It was derived from a crystal structure in OQMD, relaxed with GGA-PBE, using copper Kα.

Cell: 3.637 3.637 8.933 Å, 90.00 90.00 90.00°
Space group P4/mmm (No. 123)
One atom of each set of equivalent atoms:
Y: 0.000 0.000 0.000 x1
Hf: 0.500 0.500 0.500 x1
Au: 0.000 0.000 0.341 x2
Au: 0.500 0.500 0.175 x2

Peak list (6 most intense, 2θ = 10–80°, sorted by position)
two_theta, Rel. int.
34.88, 69
39.10, 100
50.16, 25
65.37, 45
73.50, 15
73.67, 8

=====

No. 7
The following is a theoretical XRD peak list of Y4CoC2S. It was derived from a crystal structure in OQMD, relaxed with GGA-PBE, using copper Kα.

Cell: 3.6578 3.6578 13.2962 Å, 90.00 90.00 120.00°
Space group P-6m2 (No. 187)
One atom of each set of equivalent atoms:
Y: 0.0000 0.0000 0.1428 x2
Y: 0.3333 0.6667 0.3469 x2
Co: 0.0000 0.0000 0.5000 x1
C: 0.6667 0.3333 0.2444 x2
S: 0.3333 0.6667 0.0000 x1

Peak list (6 most intense, 2θ = 10–80°, sorted by position)
two_theta, Rel. int.
28.17, 27
28.98, 13
34.81, 100
49.86, 28
62.25, 17
66.26, 12

=====

No. 8
The following is a theoretical XRD peak list of CsRb3Bi2Au2. It was derived from a crystal structure in OQMD, relaxed with GGA-PBE, using copper Kα.

Cell: 6.970 7.148 6.998 Å, 90.00 109.21 90.00°
Space group Pm (No. 6)
One atom of each set of equivalent atoms:
Cs: 0.000 0.000 0.000 x1
Rb: 0.301 0.500 0.975 x1
Rb: 0.637 0.500 0.638 x1
Rb: 0.662 0.000 0.337 x1
Bi: 0.417 0.000 0.748 x1
Bi: 0.885 0.500 0.228 x1
Au: 0.148 0.252 0.494 x2

Peak list (6 most intense, 2θ = 10–80°, sorted by position)
two_theta, Rel. int.
13.43, 39
15.56, 64
28.40, 46
28.83, 100
33.46, 65
37.10, 40

=====

No. 9
The following is a theoretical XRD peak list of Tl3CdIn2. It was derived from a crystal structure in OQMD, relaxed with GGA-PBE, using copper Kα.

Cell: 6.4597 6.4597 5.4265 Å, 90.00 90.00 120.00°
Space group P6/mmm (No. 191)
One atom of each set of equivalent atoms:
Tl: 0.0000 0.5000 0.0000 x3
Cd: 0.0000 0.0000 0.5000 x1
In: 0.3333 0.6667 0.5000 x2

Peak list (6 most intense, 2θ = 10–80°, sorted by position)
two_theta, Rel. int.
15.84, 37
32.00, 60
32.25, 100
33.01, 47
36.13, 88
46.64, 43